This entry pairs a crystal structure of TbRhO3 with its theoretical powder XRD pattern. Radiation: copper Kα. Structure: a cell relaxed with PBE.
Neutral-atom scattering factors, no anomalous dispersion.

Most intense lines, 2θ = 15–90°, sorted by position:
2θ 31.40, rel. 98.8
2θ 32.10, rel. 34.1
2θ 32.54, rel. 42.6
2θ 32.94, rel. 100.0
2θ 45.92, rel. 23.4
2θ 46.36, rel. 32.1
2θ 56.36, rel. 18.9
2θ 57.12, rel. 17.3
2θ 57.77, rel. 15.0
2θ 59.29, rel. 29.4

Atomic structure:
```
TbRhO3
1.0
4.972 -2.789 0.000
4.972 2.789 0.000
-3.252 0.000 8.769
Tb Rh O
4 4 12
direct
0.039 0.673 0.864 Tb
0.327 0.961 0.636 Tb
0.673 0.039 0.364 Tb
0.961 0.327 0.136 Tb
0.000 0.500 0.500 Rh
0.272 0.728 0.250 Rh
0.500 0.000 0.000 Rh
0.728 0.272 0.750 Rh
0.128 0.227 0.863 O
0.159 0.709 0.439 O
0.227 0.128 0.363 O
0.291 0.841 0.061 O
0.313 0.390 0.683 O
0.390 0.313 0.183 O
0.610 0.687 0.817 O
0.687 0.610 0.317 O
0.709 0.159 0.939 O
0.773 0.872 0.637 O
0.841 0.291 0.561 O
0.872 0.773 0.137 O
```